This entry pairs a crystal structure of LiSiNi with its simulated powder XRD pattern. Radiation: CuKα. Structure: the GGA-PBE geometry in Alexandria.
Intensities are scaled so that the largest is 100.

Top 10 peaks for 2θ from 15° to 90°, by intensity:
| 2θ/deg | I_rel |
| --- | --- |
| 23.05 | 100.0 |
| 43.39 | 44.7 |
| 46.57 | 33.5 |
| 47.10 | 31.9 |
| 52.68 | 20.1 |
| 22.80 | 18.3 |
| 46.99 | 17.7 |
| 60.77 | 16.3 |
| 82.52 | 12.8 |
| 28.24 | 10.1 |

Structure:
Cell lengths 4.6974, 4.6974, 4.6974 Å; angles 117.51, 116.32, 95.44 degrees
Sites, in units of the cell vectors:
Li 0.3798 0.1298 0.2500
Li 0.6202 0.8702 0.7500
Si 0.0000 0.0000 0.5000
Si 0.0000 0.5000 0.0000
Ni 0.0000 0.5000 0.5000
Ni 0.5000 0.5000 0.0000

---

This entry pairs a crystal structure of Pr3YEr with its simulated powder XRD pattern. Radiation: CuKα. Structure: the GGA-PBE geometry in Alexandria.
Intensities are scaled so that the largest is 100.

Top 10 peaks for 2θ from 15° to 90°, by intensity:
| 2θ/deg | I_rel |
| --- | --- |
| 31.27 | 100.0 |
| 31.37 | 95.8 |
| 29.87 | 54.4 |
| 30.04 | 46.8 |
| 57.91 | 26.0 |
| 57.59 | 24.4 |
| 38.17 | 21.9 |
| 61.93 | 20.5 |
| 46.13 | 13.8 |
| 77.11 | 12.8 |

Structure:
Cell lengths 9.4314, 9.4314, 7.7626 Å; angles 90.00, 90.00, 90.51 degrees
Sites, in units of the cell vectors:
Pr 0.0911 0.6094 0.6163
Pr 0.1011 0.8989 0.8921
Pr 0.1094 0.5911 0.1163
Pr 0.3906 0.9089 0.6163
Pr 0.3989 0.6011 0.3921
Pr 0.4089 0.8906 0.1163
Pr 0.5911 0.1094 0.8837
Pr 0.6011 0.3989 0.6079
Pr 0.6094 0.0911 0.3837
Pr 0.8906 0.4089 0.8837
Pr 0.8989 0.1011 0.1079
Pr 0.9089 0.3906 0.3837
Y 0.2390 0.2610 0.7500
Y 0.2610 0.2390 0.2500
Y 0.7390 0.7610 0.7500
Y 0.7610 0.7390 0.2500
Er 0.0983 0.9017 0.3721
Er 0.4017 0.5983 0.8721
Er 0.5983 0.4017 0.1279
Er 0.9017 0.0983 0.6279

---

This entry pairs a crystal structure of Mg2Co3 with its simulated powder XRD pattern. Radiation: CuKα. Structure: the GGA-PBE geometry in Alexandria.
Intensities are scaled so that the largest is 100.

Top 10 peaks for 2θ from 15° to 90°, by intensity:
| 2θ/deg | I_rel |
| --- | --- |
| 40.63 | 100.0 |
| 47.80 | 58.6 |
| 16.63 | 35.1 |
| 42.40 | 26.5 |
| 68.66 | 19.0 |
| 84.12 | 18.5 |
| 71.16 | 17.3 |
| 82.95 | 10.7 |
| 87.96 | 8.9 |
| 38.11 | 8.3 |

Structure:
Cell lengths 10.7761, 10.7761, 10.7761 Å; angles 14.58, 14.58, 14.58 degrees
Sites, in units of the cell vectors:
Mg 0.0981 0.0981 0.0981
Mg 0.9019 0.9019 0.9019
Co 0.3048 0.3048 0.3048
Co 0.5000 0.5000 0.5000
Co 0.6952 0.6952 0.6952